(1)
Calculated XRD peak list of RbPaHgO4 for CuKα, from a crystal structure in Alexandria, relaxed with PBE.
Intensities are scaled so that the largest is 100.

Cell and atoms:
```
RbPaHgO4
1.0
-3.4613 3.5321 5.7470
3.4613 -3.5321 5.7470
3.4613 3.5321 -5.7470
Rb Pa Hg O
2 2 2 8
Cartesian
0.0000 1.7660 1.7992
3.4613 1.7660 3.9478
3.4613 0.0000 0.0000
0.0000 0.0000 5.7470
1.7307 1.7660 -2.8735
1.7307 -1.7660 2.8735
3.4613 -0.3201 2.1894
2.1544 1.7660 0.1395
4.7683 1.7660 0.1395
3.4613 3.2119 -2.1894
0.0000 0.3201 7.9364
-1.3069 1.7660 5.6075
1.3069 1.7660 5.6075
0.0000 3.8522 3.5577
```

Largest 10 diffraction maxima, sorted by position, 2θ from 10° to 80°:
14.72°, rel. 30
14.94°, rel. 70
26.46°, rel. 23
26.59°, rel. 38
29.43°, rel. 50
29.73°, rel. 100
30.14°, rel. 38
31.12°, rel. 24
36.34°, rel. 30
48.58°, rel. 45

---

(2)
Calculated XRD peak list of PaHg2SbO6 for CuKα, from a crystal structure in Alexandria, relaxed with PBE.
Intensities are scaled so that the largest is 100.

Cell and atoms:
```
PaHg2SbO6
1.0
2.9484 1.7022 5.1377
-2.9484 1.7022 5.1377
0.0000 -3.4045 5.1377
Pa Hg Sb O
1 2 1 6
Cartesian
0.0000 0.0000 0.0000
0.0000 0.0000 3.7846
0.0000 0.0000 11.6283
0.0000 0.0000 7.7065
-0.7024 -1.7540 6.4249
-1.8702 -0.2687 8.9881
-1.1678 1.4853 6.4249
1.1678 -1.4853 8.9881
1.8702 0.2687 6.4249
0.7024 1.7540 8.9881
```

Largest 10 diffraction maxima, sorted by position, 2θ from 10° to 80°:
29.03°, rel. 100
30.31°, rel. 83
42.47°, rel. 42
50.64°, rel. 22
53.07°, rel. 40
53.86°, rel. 23
60.17°, rel. 15
63.06°, rel. 11
68.86°, rel. 18
70.89°, rel. 16

---

(3)
Calculated XRD peak list of Pa2TlHg2O7 for CuKα, from a crystal structure in Alexandria, relaxed with PBE.
Intensities are scaled so that the largest is 100.

Cell and atoms:
```
Pa2TlHg2O7
1.0
-2.1668 2.1900 11.3007
2.1668 -2.1900 11.3007
2.1668 2.1900 -11.3007
Pa Tl Hg O
2 1 2 7
Cartesian
0.0000 0.0000 2.2025
0.0000 0.0000 20.3989
0.0000 0.0000 11.3007
2.1668 0.0000 6.0608
0.0000 2.1900 5.2399
0.0000 0.0000 0.0000
2.1668 0.0000 2.1786
0.0000 0.0000 4.5394
2.1668 0.0000 9.0770
0.0000 2.1900 2.2237
0.0000 0.0000 18.0620
0.0000 2.1900 9.1221
```

Largest 10 diffraction maxima, sorted by position, 2θ from 10° to 80°:
23.66°, rel. 65
28.37°, rel. 76
30.07°, rel. 100
33.12°, rel. 28
34.64°, rel. 32
41.22°, rel. 29
41.68°, rel. 28
50.05°, rel. 32
51.19°, rel. 32
60.04°, rel. 26

---

(4)
Calculated XRD peak list of HgRh3Pb2O8 for CuKα, from a crystal structure in Alexandria, relaxed with PBE.
Intensities are scaled so that the largest is 100.

Cell and atoms:
```
HgRh3Pb2O8
1.0
3.1774 1.8345 5.8357
-3.1774 1.8345 5.8357
0.0000 -3.6689 5.8357
Hg Rh Pb O
1 3 2 8
Cartesian
0.0000 0.0000 0.0000
0.0000 -1.8334 9.3426
-1.5878 0.9167 9.3426
1.5878 0.9167 9.3426
0.0000 0.0000 6.3728
0.0000 0.0000 12.9998
0.0000 -1.6200 4.5801
-1.4029 0.8100 4.5801
0.0000 0.0000 2.5092
-1.4040 -0.8106 8.2312
1.4029 0.8100 4.5801
0.0000 0.0000 10.3459
1.4040 -0.8106 8.2312
0.0000 1.6212 8.2312
```

Largest 10 diffraction maxima, sorted by position, 2θ from 10° to 80°:
26.01°, rel. 23
28.08°, rel. 48
30.25°, rel. 47
32.07°, rel. 100
32.95°, rel. 18
34.16°, rel. 16
51.07°, rel. 25
52.27°, rel. 26
53.50°, rel. 29
58.06°, rel. 26

---

What is the formula in the second record? PaHg2SbO6